Record 1
Starting from the GGA-PBE geometry in OQMD, the powder diffractogram of Th was calculated for Cu Kα.

Largest 6 diffraction maxima, low angle first, 2θ = 10–90°:
| two_theta | I (rel.) |
| --- | --- |
| 30.87 | 100.0 |
| 32.58 | 61.2 |
| 34.22 | 25.1 |
| 53.79 | 33.2 |
| 57.07 | 28.2 |
| 64.32 | 11.3 |

Cell and atoms:
```
Th
1.0
8.6901 0.0000 0.0000
0.0000 8.6901 0.0000
0.0000 0.0000 8.6901
Th
20
Cartesian
0.4187 1.0863 6.9363
0.5822 8.1079 3.7628
1.0863 6.9363 0.4187
1.5903 1.5903 1.5903
1.7538 4.7638 3.2588
2.5912 3.9263 7.6038
2.7547 7.0998 5.9353
3.2588 1.7538 4.7638
3.7628 0.5822 8.1079
3.9263 7.6038 2.5912
4.7638 3.2588 1.7538
4.9273 4.9273 4.9273
5.4313 6.0988 8.2713
5.9353 2.7547 7.0998
6.0988 8.2713 5.4313
6.9363 0.4187 1.0863
7.0998 5.9353 2.7547
7.6038 2.5912 3.9263
8.1079 3.7628 0.5822
8.2713 5.4313 6.0988
```


Record 2
Starting from the GGA-PBE geometry in OQMD, the powder diffractogram of Th was calculated for Cu Kα.

Largest 6 diffraction maxima, low angle first, 2θ = 10–90°:
| two_theta | I (rel.) |
| --- | --- |
| 29.20 | 29.5 |
| 29.90 | 45.8 |
| 32.75 | 61.4 |
| 32.90 | 100.0 |
| 54.98 | 38.7 |
| 60.76 | 24.9 |

Cell and atoms:
```
Th
1.0
1.7627 -3.0753 0.0000
1.7627 3.0753 0.0000
0.0000 0.0000 5.9759
Th
2
Cartesian
1.7627 2.1087 4.4819
1.7627 -2.1087 1.4940
```


Record 3
Starting from the GGA-PBE geometry in OQMD, the powder diffractogram of Th was calculated for Cu Kα.

Largest 6 diffraction maxima, low angle first, 2θ = 10–90°:
| two_theta | I (rel.) |
| --- | --- |
| 30.77 | 100.0 |
| 35.68 | 51.0 |
| 51.35 | 37.2 |
| 61.06 | 44.7 |
| 83.77 | 19.0 |
| 86.47 | 17.8 |

Cell and atoms:
```
Th
1.0
0.0000 2.5166 2.5166
2.5166 0.0000 2.5166
2.5166 2.5166 0.0000
Th
1
Cartesian
0.0000 0.0000 0.0000
```


Record 4
Starting from the GGA-PBE geometry in OQMD, the powder diffractogram of Th was calculated for Cu Kα.

Largest 6 diffraction maxima, low angle first, 2θ = 10–90°:
| two_theta | I (rel.) |
| --- | --- |
| 27.87 | 33.4 |
| 31.24 | 100.0 |
| 34.31 | 78.4 |
| 51.47 | 25.6 |
| 53.56 | 45.5 |
| 66.99 | 23.6 |

Cell and atoms:
```
Th
1.0
6.4017 0.0000 0.0000
0.0000 6.4017 0.0000
0.0000 0.0000 6.4017
Th
8
Cartesian
0.0000 0.0000 0.0000
0.0000 1.6004 3.2008
0.0000 4.8013 3.2008
1.6004 3.2008 0.0000
3.2008 0.0000 1.6004
3.2008 0.0000 4.8013
3.2008 3.2008 3.2008
4.8013 3.2008 0.0000
```


Record 5
Starting from the GGA-PBE geometry in OQMD, the powder diffractogram of Th2Tl was calculated for Cu Kα.

Largest 6 diffraction maxima, low angle first, 2θ = 10–90°:
| two_theta | I (rel.) |
| --- | --- |
| 29.46 | 100.0 |
| 33.23 | 37.9 |
| 36.53 | 48.6 |
| 37.14 | 27.8 |
| 55.84 | 22.1 |
| 58.52 | 23.8 |

Cell and atoms:
```
Th2Tl
1.0
-3.8894 3.8894 3.0931
3.8894 -3.8894 3.0931
3.8894 3.8894 -3.0931
Th Tl
4 2
Cartesian
5.0690 1.1796 0.0000
1.1796 2.7097 0.0000
2.7097 1.1796 3.0931
-1.1796 2.7097 3.0931
0.0000 0.0000 1.5465
0.0000 0.0000 4.6396
```


Record 6
Starting from the GGA-PBE geometry in OQMD, the powder diffractogram of Th5Tl3 was calculated for Cu Kα.

Largest 6 diffraction maxima, low angle first, 2θ = 10–90°:
| two_theta | I (rel.) |
| --- | --- |
| 28.63 | 31.4 |
| 31.95 | 100.0 |
| 32.57 | 43.2 |
| 33.81 | 69.4 |
| 47.65 | 19.2 |
| 52.04 | 26.2 |

Cell and atoms:
```
Th5Tl3
1.0
9.5239 0.0000 0.0000
-4.7619 8.2479 0.0000
0.0000 0.0000 6.3835
Th Tl
10 6
Cartesian
-1.1468 1.9863 1.5959
-3.6151 6.2616 4.7876
2.2936 0.0000 1.5959
1.1468 1.9863 4.7876
0.0000 5.4986 0.0000
0.0000 5.4986 3.1918
4.7619 2.7493 0.0000
4.7619 2.7493 3.1918
7.2303 0.0000 4.7876
3.6151 6.2616 1.5959
-1.8696 3.2382 4.7876
-2.8923 5.0097 1.5959
3.7392 0.0000 4.7876
1.8696 3.2382 1.5959
5.7847 0.0000 1.5959
2.8923 5.0097 4.7876
```


Record 7
Starting from the GGA-PBE geometry in OQMD, the powder diffractogram of ThTl was calculated for Cu Kα.

Largest 6 diffraction maxima, low angle first, 2θ = 10–90°:
| two_theta | I (rel.) |
| --- | --- |
| 29.40 | 30.0 |
| 31.20 | 39.7 |
| 31.44 | 85.3 |
| 32.68 | 85.6 |
| 33.07 | 100.0 |
| 46.90 | 24.3 |

Cell and atoms:
```
ThTl
1.0
10.9438 0.0000 0.0000
0.0000 9.9955 0.0000
0.0000 0.0000 6.5624
Th Tl
12 12
Cartesian
1.2156 2.4989 0.0000
1.2156 2.4989 3.2812
1.9934 6.2860 1.6406
1.9934 8.7072 4.9218
4.2156 0.3726 1.6406
4.2156 4.6251 4.9218
6.7283 5.3704 1.6406
6.7283 9.6229 4.9218
8.9504 1.2883 1.6406
8.9504 3.7095 4.9218
9.7283 7.4966 0.0000
9.7283 7.4966 3.2812
1.0324 5.5166 4.9218
1.0324 9.4766 1.6406
3.8685 1.2621 4.9218
3.8685 3.7356 1.6406
4.5833 7.4966 0.0000
4.5833 7.4966 3.2812
6.3605 2.4989 0.0000
6.3605 2.4989 3.2812
7.0753 6.2599 4.9218
7.0753 8.7334 1.6406
9.9114 0.5189 4.9218
9.9114 4.4788 1.6406
```


Record 8
Starting from the GGA-PBE geometry in OQMD, the powder diffractogram of ThZn2 was calculated for Cu Kα.

Largest 6 diffraction maxima, low angle first, 2θ = 10–90°:
| two_theta | I (rel.) |
| --- | --- |
| 18.71 | 22.0 |
| 36.15 | 100.0 |
| 36.69 | 25.0 |
| 37.94 | 22.8 |
| 53.81 | 16.6 |
| 65.72 | 17.4 |

Cell and atoms:
```
ThZn2
1.0
4.8982 0.0000 0.0000
0.0000 10.8935 0.0000
0.0000 0.0000 4.7435
Th Zn
4 8
Cartesian
1.2245 0.9736 0.0098
1.2245 4.4732 0.0098
3.6736 6.4204 4.7336
3.6736 9.9200 4.7336
1.2245 2.7234 2.3812
1.2245 6.5935 2.3820
1.2245 8.1702 0.0446
1.2245 9.7468 2.3820
3.6736 1.1467 2.3615
3.6736 2.7234 4.6989
3.6736 4.3001 2.3615
3.6736 8.1702 2.3623
```


Record 9
Starting from the GGA-PBE geometry in OQMD, the powder diffractogram of ThZr was calculated for Cu Kα.

Largest 6 diffraction maxima, low angle first, 2θ = 10–90°:
| two_theta | I (rel.) |
| --- | --- |
| 30.19 | 20.6 |
| 32.17 | 40.0 |
| 34.31 | 100.0 |
| 34.73 | 44.3 |
| 58.74 | 21.6 |
| 64.45 | 19.8 |

Cell and atoms:
```
ThZr
1.0
5.5651 0.0000 0.0000
0.0000 8.5892 2.9164
0.0000 -8.5892 2.9164
Th Zr
5 5
Cartesian
0.0000 0.0000 0.0000
0.0000 -5.2074 3.0587
0.0000 5.2074 3.0587
2.7826 -3.2725 3.8745
2.7826 3.2725 3.8745
0.0000 -1.5488 2.8942
0.0000 1.5488 2.8942
2.7826 -1.6194 1.0870
2.7826 1.6194 1.0870
2.7826 0.0000 3.8062
```


Record 10
Starting from the GGA-PBE geometry in OQMD, the powder diffractogram of ThZr3 was calculated for Cu Kα.

Largest 6 diffraction maxima, low angle first, 2θ = 10–90°:
| two_theta | I (rel.) |
| --- | --- |
| 31.58 | 23.1 |
| 32.67 | 28.3 |
| 35.68 | 100.0 |
| 60.27 | 21.7 |
| 66.58 | 21.2 |
| 68.42 | 17.9 |

Cell and atoms:
```
ThZr3
1.0
3.2714 -5.6649 0.0000
3.2714 5.6649 0.0000
0.0000 0.0000 5.4819
Th Zr
2 6
Cartesian
3.2714 4.6922 4.1114
3.2714 -4.6922 1.3705
1.6769 1.9335 4.1114
3.2714 0.9710 1.3705
1.6769 -1.9335 1.3705
4.8660 1.9335 4.1114
3.2714 -0.9710 4.1114
4.8660 -1.9335 1.3705
```


Record 11
Starting from the GGA-PBE geometry in OQMD, the powder diffractogram of TlZn was calculated for Cu Kα.

Largest 6 diffraction maxima, low angle first, 2θ = 10–90°:
| two_theta | I (rel.) |
| --- | --- |
| 29.55 | 44.0 |
| 31.81 | 28.9 |
| 34.18 | 47.9 |
| 36.23 | 100.0 |
| 36.64 | 38.1 |
| 62.53 | 20.4 |

Cell and atoms:
```
TlZn
1.0
5.2472 0.0000 0.0000
0.0000 6.5266 0.0000
0.0000 0.0000 11.0975
Tl Zn
8 8
Cartesian
1.3118 0.0044 0.9920
1.3118 1.6317 3.9829
1.3118 1.6317 8.6650
1.3118 3.2590 0.9920
3.9354 3.2677 10.1055
3.9354 4.8950 2.4325
3.9354 4.8950 7.1145
3.9354 6.5223 10.1055
1.3118 3.4460 6.3594
1.3118 4.8950 4.1287
1.3118 4.8950 8.8289
1.3118 6.3439 6.3594
3.9354 0.1827 4.7381
3.9354 1.6317 2.2685
3.9354 1.6317 6.9688
3.9354 3.0806 4.7381
```


Record 12
Starting from the GGA-PBE geometry in OQMD, the powder diffractogram of TlZn5 was calculated for Cu Kα.

Largest 6 diffraction maxima, low angle first, 2θ = 10–90°:
| two_theta | I (rel.) |
| --- | --- |
| 23.05 | 73.8 |
| 25.97 | 100.0 |
| 30.88 | 50.3 |
| 33.32 | 79.2 |
| 36.68 | 87.5 |
| 37.07 | 77.9 |

Cell and atoms:
```
TlZn5
1.0
4.8920 0.0000 0.0000
0.0000 7.5010 0.0000
0.0000 0.0000 12.5524
Tl Zn
4 20
Cartesian
0.0000 0.3475 0.0000
0.0000 7.1536 6.2762
2.4460 0.5062 2.4392
2.4460 6.9949 8.7155
0.0000 2.1784 7.8687
0.0000 2.3305 5.0494
0.0000 2.6944 2.5326
0.0000 4.8067 8.8088
0.0000 5.1705 11.3256
0.0000 5.3227 1.5925
1.2168 1.8937 10.2663
1.2168 5.6074 3.9901
1.2247 3.1476 0.1169
1.2247 4.3534 6.3931
2.4460 1.5304 6.3996
2.4460 2.9280 4.2381
2.4460 3.2559 8.3846
2.4460 4.2451 2.1084
2.4460 4.5730 10.5143
2.4460 5.9707 0.1234
3.6673 3.1476 0.1169
3.6673 4.3534 6.3931
3.6753 1.8937 10.2663
3.6753 5.6074 3.9901
```


Record 13
Starting from the GGA-PBE geometry in OQMD, the powder diffractogram of Tm was calculated for Cu Kα.

Largest 6 diffraction maxima, low angle first, 2θ = 10–90°:
| two_theta | I (rel.) |
| --- | --- |
| 31.64 | 100.0 |
| 36.70 | 50.5 |
| 52.82 | 17.9 |
| 52.93 | 17.8 |
| 62.92 | 31.8 |
| 63.02 | 10.6 |

Cell and atoms:
```
Tm
1.0
3.4662 0.0000 0.0000
-1.7331 3.0018 0.0000
0.0000 0.0000 8.4678
Tm
3
Cartesian
-0.5760 0.9976 1.4113
1.1519 0.0000 7.0565
1.1571 2.0042 4.2339
```